# LaNdTm3
Calculated X-ray diffraction stick pattern, Cu Kα (weighted mean of Kα1 and Kα2). Input: a crystal structure in Alexandria, relaxed with GGA-PBE.
Lines closer than 0.1° are merged.

Crystal structure
```
data_LaNdTm3
_chemical_formula_sum 'La4 Nd4 Tm12'
_symmetry_space_group_name_H-M 'C m m m'
_symmetry_Int_Tables_number 65
_symmetry_space_group_name_Hall '-C 2 2'
_cell_length_a 5.213
_cell_length_b 11.248
_cell_length_c 11.236
_cell_angle_alpha 90.00
_cell_angle_beta 90.00
_cell_angle_gamma 90.00
loop_
_atom_site_label
_atom_site_fract_x
_atom_site_fract_y
_atom_site_fract_z
La1 0.000 0.152 0.000
Nd1 0.000 0.365 0.500
Tm1 0.000 0.153 0.302
Tm2 0.000 0.500 0.170
```

Principal peaks in the range 2θ = 10–80°, in order of rising 2θ:
d [Å]	I/Imax	h k l
3.117	16	0 2 3
3.044	46	1 3 0
2.936	100	1 1 3
2.676	29	1 3 2
2.606	37	2 0 0
2.362	23	1 3 3
1.874	16	0 6 0
1.561	16	3 1 3
1.521	22	2 6 0
1.420	28	1 7 3